Record 1
The following is a simulated powder X-ray diffraction pattern of Ba4SbO. It was derived from a cell relaxed with GGA-PBE, using Cu Kα.
Lines closer than 0.1° are merged.

Largest 12 diffraction maxima, in order of falling intensity, 15° ≤ 2θ ≤ 90°:
- d 3.199, 27.9 deg, rel. 1000
- d 3.217, 27.7 deg, rel. 933
- d 3.083, 29.0 deg, rel. 650
- d 3.852, 23.1 deg, rel. 507
- d 4.372, 20.3 deg, rel. 448
- d 2.583, 34.7 deg, rel. 426
- d 4.106, 21.6 deg, rel. 383
- d 1.980, 45.8 deg, rel. 361
- d 1.587, 58.1 deg, rel. 243
- d 2.535, 35.4 deg, rel. 219
- d 1.799, 50.8 deg, rel. 215
- d 2.523, 35.6 deg, rel. 202

Atomic structure:
```
Ba4SbO
1.0
6.167 0.000 0.000
0.000 5.165 0.000
-3.009 0.000 8.210
Ba Sb O
4 1 1
direct
0.000 0.000 0.000
0.215 0.000 0.481
0.433 0.500 0.872
0.700 0.500 0.491
0.596 0.000 0.205
0.337 0.500 0.564
```

---

Record 2
The following is a simulated powder X-ray diffraction pattern of Ba2Sb2O5. It was derived from a cell relaxed with GGA-PBE, using Cu Kα.
Lines closer than 0.1° are merged.

Largest 12 diffraction maxima, in order of falling intensity, 15° ≤ 2θ ≤ 90°:
- d 3.220, 27.7 deg, rel. 1000
- d 3.378, 26.4 deg, rel. 774
- d 1.734, 52.8 deg, rel. 318
- d 2.258, 39.9 deg, rel. 272
- d 1.859, 49.0 deg, rel. 223
- d 1.930, 47.1 deg, rel. 187
- d 1.380, 67.9 deg, rel. 158
- d 2.410, 37.3 deg, rel. 151
- d 1.889, 48.2 deg, rel. 143
- d 3.166, 28.2 deg, rel. 140
- d 2.058, 44.0 deg, rel. 133
- d 1.610, 57.2 deg, rel. 132

Atomic structure:
```
Ba2Sb2O5
1.0
14.864 0.000 0.000
0.000 6.445 0.000
0.000 0.000 8.231
Ba Sb O
8 8 20
direct
0.067 0.250 0.125
0.075 0.250 0.626
0.425 0.750 0.126
0.433 0.750 0.625
0.567 0.250 0.375
0.575 0.250 0.874
0.925 0.750 0.374
0.933 0.750 0.875
0.177 0.750 0.366
0.181 0.750 0.888
0.319 0.250 0.388
0.323 0.250 0.866
0.677 0.750 0.134
0.681 0.750 0.612
0.819 0.250 0.112
0.823 0.250 0.634
0.088 0.525 0.369
0.088 0.975 0.369
0.093 0.525 0.880
0.093 0.975 0.880
0.217 0.750 0.128
0.283 0.250 0.628
0.407 0.025 0.380
0.407 0.475 0.380
0.412 0.025 0.869
0.412 0.475 0.869
0.588 0.525 0.131
0.588 0.975 0.131
0.593 0.525 0.620
0.593 0.975 0.620
0.717 0.750 0.372
0.783 0.250 0.872
0.907 0.025 0.120
0.907 0.475 0.120
0.912 0.025 0.631
0.912 0.475 0.631
```

---

Record 3
The following is a simulated powder X-ray diffraction pattern of BaSb4O8. It was derived from a cell relaxed with GGA-PBE, using Cu Kα.
Lines closer than 0.1° are merged.

Largest 12 diffraction maxima, in order of falling intensity, 15° ≤ 2θ ≤ 90°:
- d 3.151, 28.3 deg, rel. 1000
- d 2.986, 29.9 deg, rel. 582
- d 1.785, 51.2 deg, rel. 318
- d 1.819, 50.1 deg, rel. 302
- d 4.335, 20.5 deg, rel. 298
- d 2.167, 41.7 deg, rel. 219
- d 1.898, 47.9 deg, rel. 199
- d 3.567, 25.0 deg, rel. 199
- d 5.458, 16.2 deg, rel. 194
- d 1.274, 74.5 deg, rel. 166
- d 1.552, 59.6 deg, rel. 165
- d 2.362, 38.1 deg, rel. 151

Atomic structure:
```
BaSb4O8
1.0
6.302 0.000 0.000
-3.151 5.458 0.000
0.000 0.000 7.135
Ba Sb O
1 4 8
direct
0.000 0.000 0.000
0.333 0.667 0.277
0.333 0.667 0.723
0.667 0.333 0.277
0.667 0.333 0.723
0.000 0.346 0.267
0.000 0.654 0.733
0.333 0.667 0.000
0.346 0.000 0.267
0.346 0.346 0.733
0.654 0.000 0.733
0.654 0.654 0.267
0.667 0.333 0.000
```

---

Record 4
The following is a simulated powder X-ray diffraction pattern of BaSb2O. It was derived from a cell relaxed with GGA-PBE, using Cu Kα.
Lines closer than 0.1° are merged.

Largest 12 diffraction maxima, in order of falling intensity, 15° ≤ 2θ ≤ 90°:
- d 3.637, 24.5 deg, rel. 1000
- d 2.676, 33.5 deg, rel. 577
- d 2.783, 32.2 deg, rel. 462
- d 1.821, 50.1 deg, rel. 336
- d 2.480, 36.2 deg, rel. 234
- d 1.856, 49.1 deg, rel. 200
- d 1.680, 54.6 deg, rel. 143
- d 1.817, 50.2 deg, rel. 130
- d 1.581, 58.4 deg, rel. 117
- d 3.051, 29.3 deg, rel. 112
- d 1.407, 66.5 deg, rel. 100
- d 2.269, 39.7 deg, rel. 96

Atomic structure:
```
BaSb2O
1.0
6.103 0.000 0.000
0.000 6.103 0.000
0.000 0.000 13.574
Ba Sb O
4 8 4
direct
0.000 0.250 0.375
0.000 0.750 0.625
0.500 0.250 0.125
0.500 0.750 0.875
0.000 0.000 0.000
0.000 0.500 0.000
0.250 0.250 0.750
0.250 0.750 0.250
0.500 0.000 0.500
0.500 0.500 0.500
0.750 0.250 0.750
0.750 0.750 0.250
0.000 0.250 0.875
0.000 0.750 0.125
0.500 0.250 0.625
0.500 0.750 0.375
```

---

Record 5
The following is a simulated powder X-ray diffraction pattern of Ba2Sb3O7. It was derived from a cell relaxed with GGA-PBE, using Cu Kα.
Lines closer than 0.1° are merged.

Largest 12 diffraction maxima, in order of falling intensity, 15° ≤ 2θ ≤ 90°:
- d 2.844, 31.5 deg, rel. 1000
- d 2.934, 30.5 deg, rel. 742
- d 3.386, 26.3 deg, rel. 545
- d 2.075, 43.6 deg, rel. 429
- d 1.676, 54.8 deg, rel. 401
- d 1.831, 49.8 deg, rel. 392
- d 1.553, 59.5 deg, rel. 209
- d 2.343, 38.4 deg, rel. 204
- d 3.910, 22.7 deg, rel. 187
- d 1.769, 51.7 deg, rel. 180
- d 1.149, 84.2 deg, rel. 153
- d 1.381, 67.9 deg, rel. 137

Atomic structure:
```
Ba2Sb3O7
1.0
4.147 0.000 0.000
0.000 11.713 0.000
0.000 0.000 4.153
Ba Sb O
2 3 7
direct
0.000 0.198 0.000
0.000 0.802 0.000
0.500 0.000 0.545
0.500 0.371 0.492
0.500 0.629 0.492
0.000 0.000 0.390
0.000 0.351 0.491
0.000 0.649 0.491
0.500 0.187 0.485
0.500 0.349 0.991
0.500 0.651 0.991
0.500 0.813 0.485
```

---

Record 6
The following is a simulated powder X-ray diffraction pattern of BaSb4O7. It was derived from a cell relaxed with GGA-PBE, using Cu Kα.
Lines closer than 0.1° are merged.

Largest 12 diffraction maxima, in order of falling intensity, 15° ≤ 2θ ≤ 90°:
- d 3.189, 28.0 deg, rel. 1000
- d 3.235, 27.6 deg, rel. 419
- d 1.907, 47.7 deg, rel. 300
- d 3.465, 25.7 deg, rel. 263
- d 2.905, 30.8 deg, rel. 189
- d 1.821, 50.1 deg, rel. 152
- d 1.933, 47.0 deg, rel. 151
- d 2.771, 32.3 deg, rel. 151
- d 5.811, 15.2 deg, rel. 146
- d 2.565, 35.0 deg, rel. 138
- d 1.637, 56.2 deg, rel. 130
- d 2.072, 43.7 deg, rel. 121

Atomic structure:
```
BaSb4O7
1.0
7.630 0.000 0.000
-3.815 6.607 0.000
0.000 0.000 12.208
Ba Sb O
2 8 14
direct
0.333 0.667 0.000
0.667 0.333 0.500
0.000 0.000 0.413
0.000 0.000 0.913
0.173 0.345 0.621
0.173 0.827 0.621
0.345 0.173 0.121
0.655 0.827 0.621
0.827 0.173 0.121
0.827 0.655 0.121
0.000 0.000 0.096
0.000 0.000 0.596
0.025 0.513 0.597
0.148 0.297 0.459
0.148 0.852 0.459
0.297 0.148 0.959
0.487 0.513 0.597
0.487 0.975 0.597
0.513 0.025 0.097
0.513 0.487 0.097
0.703 0.852 0.459
0.852 0.148 0.959
0.852 0.703 0.959
0.975 0.487 0.097
```

---

Record 7
The following is a simulated powder X-ray diffraction pattern of BaSbSeO2. It was derived from a cell relaxed with GGA-PBE, using Cu Kα.
Lines closer than 0.1° are merged.

Largest 12 diffraction maxima, in order of falling intensity, 15° ≤ 2θ ≤ 90°:
- d 3.065, 29.1 deg, rel. 1000
- d 2.972, 30.1 deg, rel. 314
- d 2.024, 44.8 deg, rel. 228
- d 2.762, 32.4 deg, rel. 195
- d 1.734, 52.8 deg, rel. 185
- d 1.647, 55.8 deg, rel. 157
- d 3.684, 24.2 deg, rel. 147
- d 1.747, 52.4 deg, rel. 89
- d 2.160, 41.8 deg, rel. 79
- d 1.297, 73.0 deg, rel. 71
- d 3.890, 22.9 deg, rel. 70
- d 1.568, 58.9 deg, rel. 70

Atomic structure:
```
BaSbSeO2
1.0
2.973 -7.039 0.000
2.973 7.039 0.000
0.000 0.000 5.525
Ba Sb Se O
2 2 2 4
direct
0.120 0.880 0.750
0.880 0.120 0.250
0.436 0.564 0.750
0.564 0.436 0.250
0.256 0.744 0.250
0.744 0.256 0.750
0.284 0.284 0.000
0.284 0.284 0.500
0.716 0.716 0.000
0.716 0.716 0.500
```

---

Record 8
The following is a simulated powder X-ray diffraction pattern of Ba3SmSb2O9. It was derived from a cell relaxed with GGA-PBE, using Cu Kα.
Lines closer than 0.1° are merged.

Largest 9 diffraction maxima, in order of falling intensity, 15° ≤ 2θ ≤ 90°:
- d 3.045, 29.3 deg, rel. 1000
- d 1.758, 52.0 deg, rel. 403
- d 2.153, 42.0 deg, rel. 298
- d 1.151, 84.1 deg, rel. 211
- d 1.522, 60.8 deg, rel. 185
- d 1.362, 69.0 deg, rel. 178
- d 1.243, 76.7 deg, rel. 61
- d 2.486, 36.1 deg, rel. 17
- d 4.306, 20.6 deg, rel. 9

Atomic structure:
```
Ba3SmSb2O9
1.0
6.090 0.000 0.000
-3.045 5.274 0.000
0.000 0.000 7.457
Ba Sm Sb O
3 1 2 9
direct
0.000 0.000 0.000
0.333 0.667 0.677
0.667 0.333 0.323
0.000 0.000 0.500
0.333 0.667 0.166
0.667 0.333 0.834
0.000 0.500 0.000
0.176 0.352 0.320
0.176 0.824 0.320
0.352 0.176 0.680
0.500 0.000 0.000
0.500 0.500 0.000
0.648 0.824 0.320
0.824 0.176 0.680
0.824 0.648 0.680
```

---

Record 9
The following is a simulated powder X-ray diffraction pattern of BaSnSbO6. It was derived from a cell relaxed with GGA-PBE, using Cu Kα.
Lines closer than 0.1° are merged.

Largest 12 diffraction maxima, in order of falling intensity, 15° ≤ 2θ ≤ 90°:
- d 3.676, 24.2 deg, rel. 1000
- d 1.993, 45.5 deg, rel. 463
- d 2.748, 32.6 deg, rel. 375
- d 1.718, 53.3 deg, rel. 224
- d 2.201, 41.0 deg, rel. 215
- d 5.788, 15.3 deg, rel. 157
- d 1.586, 58.1 deg, rel. 125
- d 2.894, 30.9 deg, rel. 115
- d 1.788, 51.1 deg, rel. 114
- d 1.391, 67.3 deg, rel. 96
- d 1.287, 73.6 deg, rel. 94
- d 1.316, 71.7 deg, rel. 92

Atomic structure:
```
BaSnSbO6
1.0
5.495 0.000 0.000
-2.748 4.759 0.000
0.000 0.000 11.575
Ba Sn Sb O
2 2 2 12
direct
0.000 0.000 0.000
0.000 0.000 0.500
0.333 0.667 0.250
0.667 0.333 0.750
0.333 0.667 0.750
0.667 0.333 0.250
0.011 0.388 0.651
0.011 0.623 0.849
0.377 0.388 0.849
0.377 0.989 0.651
0.388 0.011 0.151
0.388 0.377 0.349
0.612 0.623 0.651
0.612 0.989 0.849
0.623 0.011 0.349
0.623 0.612 0.151
0.989 0.377 0.151
0.989 0.612 0.349
```

---

Record 10
The following is a simulated powder X-ray diffraction pattern of BaYSnSbO6. It was derived from a cell relaxed with GGA-PBE, using Cu Kα.
Lines closer than 0.1° are merged.

Largest 11 diffraction maxima, in order of falling intensity, 15° ≤ 2θ ≤ 90°:
- d 2.992, 29.9 deg, rel. 1000
- d 1.727, 53.0 deg, rel. 405
- d 2.116, 42.7 deg, rel. 312
- d 1.131, 86.0 deg, rel. 220
- d 1.496, 62.0 deg, rel. 194
- d 1.338, 70.4 deg, rel. 181
- d 1.221, 78.3 deg, rel. 64
- d 2.443, 36.8 deg, rel. 40
- d 4.886, 18.2 deg, rel. 19
- d 1.276, 74.4 deg, rel. 11
- d 2.552, 35.2 deg, rel. 6

Atomic structure:
```
BaYSnSbO6
1.0
0.000 4.231 4.231
4.231 0.000 4.231
4.231 4.231 0.000
Ba Y Sn Sb O
1 1 1 1 6
direct
0.000 0.000 0.000
0.750 0.750 0.750
0.500 0.500 0.500
0.250 0.250 0.250
0.013 0.013 0.487
0.013 0.487 0.013
0.013 0.487 0.487
0.487 0.013 0.013
0.487 0.013 0.487
0.487 0.487 0.013
```

---

Record 11
The following is a simulated powder X-ray diffraction pattern of BaYSnSbO6. It was derived from a cell relaxed with GGA-PBE, using Cu Kα.
Lines closer than 0.1° are merged.

Largest 12 diffraction maxima, in order of falling intensity, 15° ≤ 2θ ≤ 90°:
- d 2.991, 29.9 deg, rel. 1000
- d 2.967, 30.1 deg, rel. 528
- d 1.718, 53.3 deg, rel. 431
- d 2.098, 43.1 deg, rel. 292
- d 1.731, 52.9 deg, rel. 220
- d 1.495, 62.1 deg, rel. 187
- d 2.131, 42.4 deg, rel. 163
- d 1.127, 86.4 deg, rel. 126
- d 1.133, 85.8 deg, rel. 118
- d 1.123, 86.7 deg, rel. 105
- d 1.327, 71.0 deg, rel. 104
- d 1.346, 69.9 deg, rel. 93

Atomic structure:
```
BaYSnSbO6
1.0
5.935 0.000 0.000
0.000 5.935 0.000
0.000 0.000 8.526
Ba Y Sn Sb O
2 2 2 2 12
direct
0.000 0.500 0.250
0.500 0.000 0.750
0.000 0.000 0.500
0.500 0.500 0.000
0.000 0.500 0.750
0.500 0.000 0.250
0.000 0.000 0.000
0.500 0.500 0.500
0.000 0.000 0.237
0.000 0.000 0.763
0.190 0.281 0.989
0.219 0.310 0.511
0.281 0.810 0.011
0.310 0.781 0.489
0.500 0.500 0.263
0.500 0.500 0.737
0.690 0.219 0.489
0.719 0.190 0.011
0.781 0.690 0.511
0.810 0.719 0.989
```

---

Record 12
The following is a simulated powder X-ray diffraction pattern of Ba3SrY2Sb2O12. It was derived from a cell relaxed with GGA-PBE, using Cu Kα.
Lines closer than 0.1° are merged.

Largest 12 diffraction maxima, in order of falling intensity, 15° ≤ 2θ ≤ 90°:
- d 3.003, 29.8 deg, rel. 1000
- d 2.995, 29.8 deg, rel. 504
- d 2.121, 42.6 deg, rel. 458
- d 1.734, 52.8 deg, rel. 313
- d 1.732, 52.8 deg, rel. 156
- d 1.728, 53.0 deg, rel. 150
- d 1.498, 62.0 deg, rel. 140
- d 1.502, 61.8 deg, rel. 136
- d 1.342, 70.1 deg, rel. 132
- d 1.135, 85.6 deg, rel. 112
- d 1.340, 70.3 deg, rel. 89
- d 1.226, 77.9 deg, rel. 66

Atomic structure:
```
Ba3SrY2Sb2O12
1.0
6.005 0.000 0.000
3.000 5.208 0.000
2.994 -1.724 9.769
Ba Sr Y Sb O
3 1 2 2 12
direct
0.000 0.000 0.000
0.000 0.500 0.499
0.501 0.250 0.749
0.505 0.750 0.245
0.249 0.375 0.126
0.252 0.874 0.622
0.749 0.625 0.876
0.752 0.124 0.372
0.015 0.718 0.759
0.044 0.187 0.258
0.476 0.040 0.486
0.483 0.535 0.992
0.518 0.771 0.754
0.523 0.298 0.252
0.538 0.977 0.998
0.549 0.478 0.492
0.935 0.773 0.253
0.963 0.271 0.755
0.976 0.480 0.999
0.981 0.970 0.494
```

---

Repeat the tenth record exactly.
The following is a simulated powder X-ray diffraction pattern of BaYSnSbO6. It was derived from a cell relaxed with GGA-PBE, using Cu Kα.
Lines closer than 0.1° are merged.

Largest 11 diffraction maxima, in order of falling intensity, 15° ≤ 2θ ≤ 90°:
- d 2.992, 29.9 deg, rel. 1000
- d 1.727, 53.0 deg, rel. 405
- d 2.116, 42.7 deg, rel. 312
- d 1.131, 86.0 deg, rel. 220
- d 1.496, 62.0 deg, rel. 194
- d 1.338, 70.4 deg, rel. 181
- d 1.221, 78.3 deg, rel. 64
- d 2.443, 36.8 deg, rel. 40
- d 4.886, 18.2 deg, rel. 19
- d 1.276, 74.4 deg, rel. 11
- d 2.552, 35.2 deg, rel. 6

Atomic structure:
```
BaYSnSbO6
1.0
0.000 4.231 4.231
4.231 0.000 4.231
4.231 4.231 0.000
Ba Y Sn Sb O
1 1 1 1 6
direct
0.000 0.000 0.000
0.750 0.750 0.750
0.500 0.500 0.500
0.250 0.250 0.250
0.013 0.013 0.487
0.013 0.487 0.013
0.013 0.487 0.487
0.487 0.013 0.013
0.487 0.013 0.487
0.487 0.487 0.013
```

---

Copy entry 11 word for word.
The following is a simulated powder X-ray diffraction pattern of BaYSnSbO6. It was derived from a cell relaxed with GGA-PBE, using Cu Kα.
Lines closer than 0.1° are merged.

Largest 12 diffraction maxima, in order of falling intensity, 15° ≤ 2θ ≤ 90°:
- d 2.991, 29.9 deg, rel. 1000
- d 2.967, 30.1 deg, rel. 528
- d 1.718, 53.3 deg, rel. 431
- d 2.098, 43.1 deg, rel. 292
- d 1.731, 52.9 deg, rel. 220
- d 1.495, 62.1 deg, rel. 187
- d 2.131, 42.4 deg, rel. 163
- d 1.127, 86.4 deg, rel. 126
- d 1.133, 85.8 deg, rel. 118
- d 1.123, 86.7 deg, rel. 105
- d 1.327, 71.0 deg, rel. 104
- d 1.346, 69.9 deg, rel. 93

Atomic structure:
```
BaYSnSbO6
1.0
5.935 0.000 0.000
0.000 5.935 0.000
0.000 0.000 8.526
Ba Y Sn Sb O
2 2 2 2 12
direct
0.000 0.500 0.250
0.500 0.000 0.750
0.000 0.000 0.500
0.500 0.500 0.000
0.000 0.500 0.750
0.500 0.000 0.250
0.000 0.000 0.000
0.500 0.500 0.500
0.000 0.000 0.237
0.000 0.000 0.763
0.190 0.281 0.989
0.219 0.310 0.511
0.281 0.810 0.011
0.310 0.781 0.489
0.500 0.500 0.263
0.500 0.500 0.737
0.690 0.219 0.489
0.719 0.190 0.011
0.781 0.690 0.511
0.810 0.719 0.989
```

---

Repeat the seventh record exactly.
The following is a simulated powder X-ray diffraction pattern of BaSbSeO2. It was derived from a cell relaxed with GGA-PBE, using Cu Kα.
Lines closer than 0.1° are merged.

Largest 12 diffraction maxima, in order of falling intensity, 15° ≤ 2θ ≤ 90°:
- d 3.065, 29.1 deg, rel. 1000
- d 2.972, 30.1 deg, rel. 314
- d 2.024, 44.8 deg, rel. 228
- d 2.762, 32.4 deg, rel. 195
- d 1.734, 52.8 deg, rel. 185
- d 1.647, 55.8 deg, rel. 157
- d 3.684, 24.2 deg, rel. 147
- d 1.747, 52.4 deg, rel. 89
- d 2.160, 41.8 deg, rel. 79
- d 1.297, 73.0 deg, rel. 71
- d 3.890, 22.9 deg, rel. 70
- d 1.568, 58.9 deg, rel. 70

Atomic structure:
```
BaSbSeO2
1.0
2.973 -7.039 0.000
2.973 7.039 0.000
0.000 0.000 5.525
Ba Sb Se O
2 2 2 4
direct
0.120 0.880 0.750
0.880 0.120 0.250
0.436 0.564 0.750
0.564 0.436 0.250
0.256 0.744 0.250
0.744 0.256 0.750
0.284 0.284 0.000
0.284 0.284 0.500
0.716 0.716 0.000
0.716 0.716 0.500
```